Structure and calculated X-ray powder pattern of Cd3TeO6 (DFT lattice parameters and positions (PBE); CuKα).

Main lines, by angle (2θ from 10° to 90°):
2.862 Å, 2θ = 31.26°, I 100
2.804 Å, 2θ = 31.91°, I 93
2.003 Å, 2θ = 45.27°, I 43
1.806 Å, 2θ = 50.53°, I 15
1.630 Å, 2θ = 56.46°, I 39
1.619 Å, 2θ = 56.87°, I 26

Structural model:
a = 5.726 Å, b = 5.726 Å, c = 5.726 Å
α = 58.65°, β = 58.65°, γ = 58.65°
Positions (direct):
Cd (0.000, 0.000, 0.000)
Cd (0.228, 0.228, 0.228)
Cd (0.492, 0.492, 0.492)
Te (0.717, 0.717, 0.717)
O (0.060, 0.832, 0.476)
O (0.367, 0.611, 0.916)
O (0.476, 0.060, 0.832)
O (0.611, 0.916, 0.367)
O (0.832, 0.476, 0.060)
O (0.916, 0.367, 0.611)